CaMgCoHNF: simulated powder X-ray diffraction pattern (Cu Kα X-rays), based on a cell relaxed with GGA+U.
No peak broadening, texture or thermal motion is included.

Main lines, low angle first (2θ = 10–90°):
| hkl | two_theta | Rel. int. |
| --- | --- | --- |
| 0 0 2 | 11.67 | 169 |
| 1 0 1 | 29.21 | 151 |
| 1 0 3 | 33.75 | 1000 |
| 0 0 6 | 35.53 | 133 |
| 1 1 0 | 40.89 | 625 |
| 1 0 5 | 41.52 | 261 |
| 1 1 6 | 55.26 | 141 |
| 2 0 0 | 59.20 | 183 |
| 1 0 9 | 62.67 | 130 |
| 2 1 3 | 69.91 | 212 |

Atomic structure:
a b c (Å): 3.121 3.121 15.162
angles (deg): 90.00 90.00 90.00
Fractional positions:
1 Ca 0.000 0.000 0.000
2 Ca 0.500 0.500 0.500
3 Mg 0.000 0.000 0.715
4 Mg 0.500 0.500 0.215
5 Co 0.000 0.000 0.339
6 Co 0.500 0.500 0.839
7 H 0.000 0.000 0.443
8 H 0.500 0.500 0.943
9 N 0.000 0.000 0.224
10 N 0.500 0.500 0.724
11 F 0.000 0.000 0.578
12 F 0.500 0.500 0.078